The following is a calculated X-ray diffraction stick pattern of CdRe2H8C2S2N4O8. It was derived from a PBE-relaxed structure, using CuKα.

Cell and atoms:
```
data_CdRe2H8C2S2N4O8
_cell_length_a 5.857
_cell_length_b 11.086
_cell_length_c 10.126
_cell_angle_alpha 90.00
_cell_angle_beta 95.14
_cell_angle_gamma 90.00
_symmetry_space_group_name_H-M 'P 1 21/c 1'
_symmetry_Int_Tables_number 14
loop_
_symmetry_equiv_pos_as_xyz
'x,y,z'
'-x,-y,-z'
'-x,y+1/2,-z+1/2'
'x,-y+1/2,z+1/2'
loop_
_atom_site_label
_atom_site_type_symbol
_atom_site_fract_x
_atom_site_fract_y
_atom_site_fract_z
Cd1 Cd 0.000 0.000 0.000
Re1 Re 0.480 0.226 0.937
H1 H 0.101 0.189 0.588
H2 H 0.172 0.664 0.858
H3 H 0.315 0.586 0.242
H4 H 0.390 0.040 0.648
C1 C 0.056 0.032 0.695
S1 S 0.147 0.052 0.232
N1 N 0.009 0.634 0.867
N2 N 0.272 0.505 0.199
O1 O 0.193 0.179 0.941
O2 O 0.335 0.623 0.476
O3 O 0.443 0.740 0.725
O4 O 0.490 0.633 0.985
```

Principal peaks in the range 10° ≤ 2θ ≤ 80°, by intensity:
2θ = 22.12°, rel. 100; 2θ = 11.86°, rel. 32; 2θ = 17.59°, rel. 29; 2θ = 19.34°, rel. 28; 2θ = 27.52°, rel. 26; 2θ = 25.66°, rel. 24; 2θ = 15.19°, rel. 21; 2θ = 30.65°, rel. 19; 2θ = 23.67°, rel. 19; 2θ = 45.13°, rel. 16

The following is a calculated X-ray diffraction stick pattern of CdRe2H8C2S2N4O8. It was derived from a PBE-relaxed structure, using CuKα.

Cell and atoms:
```
data_CdRe2H8C2S2N4O8
_cell_length_a 8.574
_cell_length_b 8.920
_cell_length_c 9.734
_cell_angle_alpha 78.14
_cell_angle_beta 69.11
_cell_angle_gamma 67.51
_symmetry_space_group_name_H-M 'P -1'
_symmetry_Int_Tables_number 2
loop_
_symmetry_equiv_pos_as_xyz
'x,y,z'
'-x,-y,-z'
loop_
_atom_site_label
_atom_site_type_symbol
_atom_site_fract_x
_atom_site_fract_y
_atom_site_fract_z
Cd1 Cd 0.098 0.290 0.428
Re1 Re 0.004 0.969 0.758
Re2 Re 0.206 0.569 0.050
H1 H 0.267 0.159 0.893
H2 H 0.274 0.716 0.388
H3 H 0.348 0.235 0.714
H4 H 0.381 0.650 0.726
H5 H 0.389 0.221 0.143
H6 H 0.407 0.899 0.971
H7 H 0.482 0.626 0.261
H8 H 0.489 0.776 0.595
C1 C 0.376 0.469 0.412
C2 C 0.497 0.991 0.229
S1 S 0.198 0.444 0.562
S2 S 0.343 0.008 0.402
N1 N 0.373 0.152 0.800
N2 N 0.382 0.616 0.356
N3 N 0.489 0.112 0.124
N4 N 0.490 0.663 0.642
O1 O 0.009 0.293 0.921
O2 O 0.029 0.837 0.342
O3 O 0.070 0.814 0.641
O4 O 0.176 0.922 0.831
O5 O 0.191 0.030 0.102
O6 O 0.203 0.403 0.188
O7 O 0.282 0.500 0.874
O8 O 0.345 0.663 0.060
```

Principal peaks in the range 10° ≤ 2θ ≤ 80°, by intensity:
2θ = 11.74°, rel. 100; 2θ = 23.16°, rel. 65; 2θ = 26.75°, rel. 50; 2θ = 24.72°, rel. 40; 2θ = 21.63°, rel. 38; 2θ = 29.07°, rel. 32; 2θ = 27.12°, rel. 28; 2θ = 25.68°, rel. 27; 2θ = 29.22°, rel. 25; 2θ = 22.38°, rel. 24

The following is a calculated X-ray diffraction stick pattern of CdH20C4S4N2O12. It was derived from a PBE-relaxed structure, using CuKα.

Cell and atoms:
```
data_CdH20C4S4N2O12
_cell_length_a 7.436
_cell_length_b 7.902
_cell_length_c 8.157
_cell_angle_alpha 70.08
_cell_angle_beta 74.27
_cell_angle_gamma 63.37
_symmetry_space_group_name_H-M 'P -1'
_symmetry_Int_Tables_number 2
loop_
_symmetry_equiv_pos_as_xyz
'x,y,z'
'-x,-y,-z'
loop_
_atom_site_label
_atom_site_type_symbol
_atom_site_fract_x
_atom_site_fract_y
_atom_site_fract_z
Cd1 Cd 0.000 0.000 0.000
H1 H 0.101 0.594 0.180
H2 H 0.136 0.067 0.535
H3 H 0.173 0.694 0.274
H4 H 0.297 0.124 0.774
H5 H 0.309 0.719 0.765
H6 H 0.332 0.163 0.450
H7 H 0.365 0.469 0.895
H8 H 0.370 0.931 0.417
H9 H 0.430 0.912 0.880
H10 H 0.478 0.480 0.311
C1 C 0.261 0.077 0.430
C2 C 0.369 0.566 0.763
S1 S 0.158 0.200 0.231
S2 S 0.217 0.541 0.647
N1 N 0.005 0.419 0.239
O1 O 0.051 0.088 0.220
O2 O 0.164 0.691 0.156
O3 O 0.213 0.683 0.475
O4 O 0.301 0.338 0.639
O5 O 0.301 0.990 0.830
O6 O 0.320 0.217 0.087
```

Principal peaks in the range 10° ≤ 2θ ≤ 80°, by intensity:
2θ = 22.79°, rel. 100; 2θ = 13.45°, rel. 92; 2θ = 19.57°, rel. 74; 2θ = 21.74°, rel. 36; 2θ = 31.11°, rel. 34; 2θ = 27.42°, rel. 27; 2θ = 24.40°, rel. 20; 2θ = 16.54°, rel. 19; 2θ = 29.07°, rel. 18; 2θ = 22.14°, rel. 18